Structure and calculated XRD peak list of BeTl2Cl (the GGA-PBE geometry in Alexandria; Cu Ka).
Peak positions follow from Bragg's law for the DFT cell and can differ from measured ones.

Top 12 peaks for 2θ = 5–70°, sorted by position:
Position (°2θ), intensity
8.4, 100
25.4, 31
27.8, 33
29.1, 13
32.2, 44
34.1, 11
35.5, 53
38.0, 21
44.6, 11
52.0, 13
54.0, 14
54.3, 16

Crystal structure
```
BeTl2Cl
1.0
1.6148 -3.2137 0.0000
1.6148 3.2137 0.0000
0.0000 0.0000 10.5054
Be Tl Cl
1 2 1
direct
0.0000 0.0000 0.0000
0.0000 0.0000 0.5029
0.5000 0.5000 0.7865
0.5000 0.5000 0.1239
```

***

Structure and calculated XRD peak list of Be2TlCl6 (the GGA-PBE geometry in Alexandria; Cu Ka).
Peak positions follow from Bragg's law for the DFT cell and can differ from measured ones.

Top 12 peaks for 2θ = 5–70°, sorted by position:
Position (°2θ), intensity
13.5, 43
14.4, 30
16.2, 100
19.8, 83
21.7, 46
21.8, 58
29.2, 87
31.9, 27
33.1, 29
33.3, 28
38.7, 22
40.7, 24

Crystal structure
```
Be2TlCl6
1.0
6.8264 -6.5730 0.0000
6.8264 6.5730 0.0000
-2.5899 0.0000 5.4153
Be Tl Cl
4 2 12
direct
0.1440 0.2901 0.1650
0.2901 0.1440 0.6650
0.7099 0.8560 0.3350
0.8560 0.7099 0.8350
0.2732 0.7268 0.2500
0.7268 0.2732 0.7500
0.0566 0.6624 0.7908
0.1115 0.2239 0.7902
0.2239 0.1115 0.2902
0.2937 0.4623 0.3667
0.3376 0.9434 0.7092
0.4623 0.2937 0.8667
0.5377 0.7063 0.1333
0.6624 0.0566 0.2908
0.7063 0.5377 0.6333
0.7761 0.8885 0.7098
0.8885 0.7761 0.2098
0.9434 0.3376 0.2092
```